No. 1
This entry pairs a crystal structure of GdSe2 with its theoretical X-ray powder pattern. Radiation: Cu Ka. Structure: a structure optimized by DFT (GGA-PBE).
Neutral-atom scattering factors, no anomalous dispersion.

Principal peaks in the range 2θ from 10° to 90°, sorted by position:
- 24.18 deg, rel. 51
- 30.91 deg, rel. 37
- 32.73 deg, rel. 67
- 37.72 deg, rel. 100
- 38.90 deg, rel. 59
- 44.28 deg, rel. 57

Crystal structure
```
data_GdSe2
_cell_length_a 4.0909
_cell_length_b 4.0909
_cell_length_c 8.4252
_cell_angle_alpha 90.00
_cell_angle_beta 90.00
_cell_angle_gamma 90.00
_space_group_name_H-M_alt 'P 4/n m m'
_space_group_IT_number 129
loop_
_space_group_symop_operation_xyz
'x,y,z'
'-x,-y,-z'
'-y+1/2,x,z'
'y+1/2,-x,-z'
'-x+1/2,-y+1/2,z'
'x+1/2,y+1/2,-z'
'y,-x+1/2,z'
'-y,x+1/2,-z'
'x+1/2,-y,-z'
'-x+1/2,y,z'
'-y,-x,-z'
'y,x,z'
'-x,y+1/2,-z'
'x,-y+1/2,z'
'y+1/2,x+1/2,-z'
'-y+1/2,-x+1/2,z'
loop_
_atom_site_label
_atom_site_fract_x
_atom_site_fract_y
_atom_site_fract_z
Gd1 0.2500 0.2500 0.2258
Se1 0.2500 0.2500 0.8685
Se2 0.2500 0.7500 0.5000
```

---

No. 2
This entry pairs a crystal structure of DyGePd2 with its theoretical X-ray powder pattern. Radiation: Cu Ka. Structure: a structure optimized by DFT (GGA-PBE).
Neutral-atom scattering factors, no anomalous dispersion.

Principal peaks in the range 2θ from 10° to 90°, sorted by position:
- 31.60 deg, rel. 54
- 35.00 deg, rel. 76
- 36.35 deg, rel. 100
- 38.57 deg, rel. 42
- 40.04 deg, rel. 62
- 43.03 deg, rel. 40

Crystal structure
```
data_DyGePd2
_cell_length_a 7.3677
_cell_length_b 7.1416
_cell_length_c 5.6408
_cell_angle_alpha 90.00
_cell_angle_beta 90.00
_cell_angle_gamma 90.00
_space_group_name_H-M_alt 'P n m a'
_space_group_IT_number 62
loop_
_space_group_symop_operation_xyz
'x,y,z'
'-x,-y,-z'
'-x+1/2,-y,z+1/2'
'x+1/2,y,-z+1/2'
'x+1/2,-y+1/2,-z+1/2'
'-x+1/2,y+1/2,z+1/2'
'-x,y+1/2,-z'
'x,-y+1/2,z'
loop_
_atom_site_label
_atom_site_fract_x
_atom_site_fract_y
_atom_site_fract_z
Dy1 0.0240 0.2500 0.1444
Ge1 0.1210 0.7500 0.3590
Pd1 0.1833 0.0514 0.5879
```

---

No. 3
This entry pairs a crystal structure of Mn4N with its theoretical X-ray powder pattern. Radiation: Cu Ka. Structure: a structure optimized by DFT (GGA-PBE).
Neutral-atom scattering factors, no anomalous dispersion.

Principal peaks in the range 2θ from 10° to 90°, sorted by position:
- 23.69 deg, rel. 2
- 33.75 deg, rel. 1
- 41.66 deg, rel. 100
- 48.48 deg, rel. 58
- 70.99 deg, rel. 33
- 85.82 deg, rel. 32

Crystal structure
```
data_Mn4N
_cell_length_a 3.7554
_cell_length_b 3.7554
_cell_length_c 3.7554
_cell_angle_alpha 90.00
_cell_angle_beta 90.00
_cell_angle_gamma 90.00
_space_group_name_H-M_alt 'P m -3 m'
_space_group_IT_number 221
_space_group_name_Hall '-P 4 2 3'
loop_
_atom_site_label
_atom_site_fract_x
_atom_site_fract_y
_atom_site_fract_z
Mn1 0.0000 0.0000 0.0000
Mn2 0.0000 0.5000 0.5000
N1 0.5000 0.5000 0.5000
```